Structure and computed X-ray powder pattern of LiCa2FeN2 (a DFT-relaxed cell (PBE, the Materials Project); copper Kα).

Crystal structure
Unit cell a=5.346 b=5.346 c=6.701 alpha=90.00 beta=90.00 gamma=90.00
Space group P4_2/mnm (No. 136)
One atom of each set of equivalent atoms:
Li  0.000  0.000  0.000 (multiplicity 2)
Ca  0.000  0.500  0.250 (multiplicity 4)
Fe  0.000  0.000  0.500 (multiplicity 2)
N  0.241  0.241  0.500 (multiplicity 4)

Peak list (10 most intense, 2θ = 10–80°, sorted by position)
two_theta	d_spacing	I_rel
21.26	4.179	55
27.08	3.293	8
33.52	2.673	40
35.81	2.508	100
40.04	2.252	18
48.14	1.890	27
54.79	1.675	9
61.43	1.509	36
65.78	1.420	11
75.89	1.254	12